# 1
This entry pairs a crystal structure of KHoNpO6 with its simulated PXRD pattern. Radiation: Cu Kα (weighted mean of Kα1 and Kα2). Structure: a structure optimized by DFT (PBE).

Cell and atoms:
```
data_KHoNpO6
_chemical_formula_sum 'K2 Ho2 Np2 O12'
_space_group_name_H-M_alt 'P 42 n m'
_space_group_IT_number 102
_space_group_name_Hall 'P 4n -2n'
_cell_length_a 5.348
_cell_length_b 5.348
_cell_length_c 10.488
_cell_angle_alpha 90.00
_cell_angle_beta 90.00
_cell_angle_gamma 90.00
loop_
_atom_site_label
_atom_site_fract_x
_atom_site_fract_y
_atom_site_fract_z
K1 0.000 0.000 0.000
Ho1 0.000 0.000 0.669
Np1 0.000 0.000 0.337
O1 0.164 0.164 0.486
O2 0.205 0.205 0.213
O3 0.232 0.232 0.807
```

Peak list (10 most intense, 2θ from 10° to 90°, by angle)
2theta	d/Å	I_rel
16.91	5.244	19
18.62	4.764	57
23.53	3.782	100
30.55	2.926	86
33.51	2.674	26
45.98	1.974	68
48.12	1.891	18
54.24	1.691	18
58.11	1.587	36
78.71	1.216	26



# 2
This entry pairs a crystal structure of Tl2AgSn2 with its simulated PXRD pattern. Radiation: Cu Kα (weighted mean of Kα1 and Kα2). Structure: a structure optimized by DFT (PBE).

Cell and atoms:
```
data_Tl2AgSn2
_chemical_formula_sum 'Tl8 Ag4 Sn8'
_space_group_name_H-M_alt 'I b a m'
_space_group_IT_number 72
_space_group_name_Hall '-I 2 2c'
_cell_length_a 6.603
_cell_length_b 14.588
_cell_length_c 5.704
_cell_angle_alpha 90.00
_cell_angle_beta 90.00
_cell_angle_gamma 90.00
loop_
_atom_site_label
_atom_site_fract_x
_atom_site_fract_y
_atom_site_fract_z
Tl1 0.181 0.183 0.000
Ag1 0.000 0.000 0.250
Sn1 0.152 0.421 0.000
```

Peak list (10 most intense, 2θ from 10° to 90°, by angle)
2theta	d/Å	I_rel
31.36	2.852	25
31.91	2.804	52
32.13	2.786	100
33.58	2.669	21
39.07	2.305	16
41.85	2.158	17
45.22	2.005	16
56.32	1.634	21
60.24	1.536	13
62.04	1.496	21